The following is a calculated powder X-ray diffraction pattern of Pr4InFe2Ge4. It was derived from DFT lattice parameters and positions (PBE), using Cu Kα, 1.54184 Å.

Top 10 peaks for 2θ = 15–90°, by angle:
- 26.7 deg, I 24.1
- 31.9 deg, I 100.0
- 33.3 deg, I 99.4
- 33.5 deg, I 29.2
- 34.7 deg, I 35.4
- 35.7 deg, I 32.7
- 38.7 deg, I 39.0
- 41.0 deg, I 50.9
- 54.0 deg, I 23.7
- 57.7 deg, I 24.9

Crystal structure
Cell: 8.3402 8.3402 7.3148 Å, 106.87 106.87 30.60°
Fractional coordinates of all 11 atoms:
Pr 0.0902 0.0902 0.3806
Pr 0.1537 0.1537 0.9415
Pr 0.8463 0.8463 0.0585
Pr 0.9098 0.9098 0.6194
In 0.5000 0.5000 0.0000
Fe 0.2837 0.2837 0.3622
Fe 0.7163 0.7163 0.6378
Ge 0.2872 0.2872 0.7114
Ge 0.4324 0.4324 0.3440
Ge 0.5676 0.5676 0.6560
Ge 0.7128 0.7128 0.2886

***

The following is a calculated powder X-ray diffraction pattern of YLuFeGe. It was derived from DFT lattice parameters and positions (PBE), using Cu Kα, 1.54184 Å.

Top 10 peaks for 2θ = 15–90°, by angle:
- 23.2 deg, I 19.8
- 26.8 deg, I 3.4
- 38.3 deg, I 100.0
- 45.2 deg, I 10.7
- 55.3 deg, I 16.9
- 60.7 deg, I 4.7
- 69.2 deg, I 33.9
- 74.1 deg, I 3.6
- 82.0 deg, I 10.6
- 86.6 deg, I 3.8

Crystal structure
Cell: 4.7025 4.7025 4.7025 Å, 60.00 60.00 60.00°
Fractional coordinates of all 4 atoms:
Y 0.0000 0.0000 0.0000
Lu 0.2500 0.2500 0.2500
Fe 0.7500 0.7500 0.7500
Ge 0.5000 0.5000 0.5000

***

The following is a calculated powder X-ray diffraction pattern of Er2As2O5. It was derived from DFT lattice parameters and positions (PBE), using Cu Kα, 1.54184 Å.

Top 10 peaks for 2θ = 15–90°, by angle:
- 24.0 deg, I 16.0
- 31.0 deg, I 100.0
- 34.3 deg, I 33.2
- 39.2 deg, I 11.6
- 49.2 deg, I 19.7
- 53.0 deg, I 30.8
- 59.3 deg, I 32.1
- 64.7 deg, I 11.1
- 66.0 deg, I 11.4
- 86.5 deg, I 11.3

Crystal structure
Cell: 3.7019 3.7019 9.1951 Å, 90.00 90.00 90.00°
Fractional coordinates of all 9 atoms:
Er 0.0000 0.0000 0.2453
Er 0.0000 0.0000 0.7547
As 0.5000 0.5000 0.0000
As 0.5000 0.5000 0.5000
O 0.0000 0.0000 0.0000
O 0.0000 0.5000 0.3640
O 0.0000 0.5000 0.6360
O 0.5000 0.0000 0.3640
O 0.5000 0.0000 0.6360

***

The following is a calculated powder X-ray diffraction pattern of In2Re2O5. It was derived from DFT lattice parameters and positions (PBE), using Cu Kα, 1.54184 Å.

Top 10 peaks for 2θ = 15–90°, by angle:
- 31.3 deg, I 100.0
- 32.9 deg, I 39.2
- 42.6 deg, I 14.6
- 47.2 deg, I 21.6
- 54.8 deg, I 18.9
- 57.7 deg, I 35.6
- 65.4 deg, I 15.6
- 70.9 deg, I 9.6
- 84.5 deg, I 7.6
- 89.6 deg, I 11.0

Crystal structure
Cell: 3.8550 3.8550 8.4922 Å, 90.00 90.00 90.00°
Fractional coordinates of all 9 atoms:
In 0.0000 0.0000 0.0000
In 0.0000 0.0000 0.5000
Re 0.5000 0.5000 0.2503
Re 0.5000 0.5000 0.7497
O 0.0000 0.5000 0.2464
O 0.0000 0.5000 0.7536
O 0.5000 0.0000 0.2464
O 0.5000 0.0000 0.7536
O 0.5000 0.5000 0.5000